1.
Diffraction record for VFeIrRu. The XRD peak list is calculated, not measured: it uses a GGA-PBE-relaxed structure and Cu Kα (λ = 1.5418 Å).

Structural model:
```
VFeIrRu
1.0
3.633 0.000 0.000
0.000 3.797 0.000
0.000 0.000 3.836
V Fe Ir Ru
1 1 1 1
direct
0.000 0.000 0.000
0.000 0.500 0.500
0.500 0.000 0.500
0.500 0.500 0.000
```

Largest 10 diffraction maxima, in order of falling intensity, 10 to 90 degrees two-theta:
| 2theta | I (rel.) |
| --- | --- |
| 41.69 | 100.0 |
| 24.50 | 20.6 |
| 33.20 | 19.4 |
| 47.40 | 17.1 |
| 47.91 | 16.6 |
| 50.23 | 14.4 |
| 84.24 | 12.6 |
| 85.00 | 12.3 |
| 88.50 | 11.3 |
| 69.69 | 10.5 |

---

2.
Diffraction record for K2DyInI6. The XRD peak list is calculated, not measured: it uses a GGA-PBE-relaxed structure and Cu Kα (λ = 1.5418 Å).

Structural model:
```
K2DyInI6
1.0
4.320 2.494 7.465
-4.320 2.494 7.465
0.000 -4.989 7.465
K Dy In I
2 1 1 6
direct
0.000 0.000 0.000
0.489 0.489 0.489
0.693 0.693 0.693
0.201 0.201 0.201
0.036 0.456 0.814
0.343 0.907 0.582
0.456 0.814 0.036
0.582 0.343 0.907
0.814 0.036 0.456
0.907 0.582 0.343
```

Largest 10 diffraction maxima, in order of falling intensity, 10 to 90 degrees two-theta:
| 2theta | I (rel.) |
| --- | --- |
| 23.80 | 100.0 |
| 14.24 | 55.2 |
| 31.68 | 54.8 |
| 36.01 | 34.0 |
| 28.70 | 30.6 |
| 41.89 | 21.6 |
| 62.08 | 15.5 |
| 48.74 | 15.2 |
| 35.56 | 14.4 |
| 56.03 | 13.4 |

---

3.
Diffraction record for Zr2Pd9Pt. The XRD peak list is calculated, not measured: it uses a GGA-PBE-relaxed structure and Cu Kα (λ = 1.5418 Å).

Structural model:
```
Zr2Pd9Pt
1.0
4.011 0.000 0.000
0.000 4.011 0.000
0.000 0.000 12.039
Zr Pd Pt
2 9 1
direct
0.000 0.000 0.172
0.000 0.000 0.828
0.000 0.500 0.000
0.000 0.500 0.332
0.000 0.500 0.668
0.500 0.000 0.000
0.500 0.000 0.332
0.500 0.000 0.668
0.500 0.500 0.166
0.500 0.500 0.500
0.500 0.500 0.834
0.000 0.000 0.500
```

Largest 10 diffraction maxima, in order of falling intensity, 10 to 90 degrees two-theta:
| 2theta | I (rel.) |
| --- | --- |
| 38.89 | 100.0 |
| 45.21 | 48.6 |
| 79.19 | 36.3 |
| 65.85 | 30.9 |
| 83.48 | 10.6 |
| 23.38 | 2.1 |
| 37.35 | 1.1 |
| 26.71 | 1.1 |
| 32.43 | 1.0 |
| 14.72 | 0.9 |

---

4.
Diffraction record for CaMg2Sn2Pd2. The XRD peak list is calculated, not measured: it uses a GGA-PBE-relaxed structure and Cu Kα (λ = 1.5418 Å).

Structural model:
```
CaMg2Sn2Pd2
1.0
2.276 1.314 8.539
-2.276 1.314 8.539
0.000 -2.629 8.539
Ca Mg Sn Pd
1 2 2 2
direct
0.000 0.000 0.000
0.139 0.139 0.139
0.861 0.861 0.861
0.258 0.258 0.258
0.742 0.742 0.742
0.442 0.442 0.442
0.558 0.558 0.558
```

Largest 10 diffraction maxima, in order of falling intensity, 10 to 90 degrees two-theta:
| 2theta | I (rel.) |
| --- | --- |
| 39.59 | 100.0 |
| 33.41 | 66.1 |
| 26.55 | 61.5 |
| 45.16 | 53.4 |
| 20.81 | 46.7 |
| 42.06 | 44.5 |
| 22.82 | 26.4 |
| 52.74 | 17.6 |
| 73.52 | 17.5 |
| 71.83 | 17.2 |

---

5.
Diffraction record for Tb7Pm3Pr. The XRD peak list is calculated, not measured: it uses a GGA-PBE-relaxed structure and Cu Kα (λ = 1.5418 Å).

Structural model:
```
Tb7Pm3Pr
1.0
5.590 0.000 0.000
0.009 7.012 0.000
0.002 3.448 9.457
Tb Pm Pr
7 3 1
direct
0.000 0.000 0.000
0.000 0.418 0.170
0.000 0.582 0.830
0.500 0.145 0.712
0.500 0.321 0.360
0.500 0.679 0.640
0.500 0.855 0.288
0.000 0.500 0.500
0.500 0.282 0.001
0.500 0.718 0.999
0.000 0.000 0.500
```

Largest 10 diffraction maxima, in order of falling intensity, 10 to 90 degrees two-theta:
| 2theta | I (rel.) |
| --- | --- |
| 31.55 | 100.0 |
| 32.61 | 69.3 |
| 32.02 | 69.0 |
| 31.65 | 52.5 |
| 31.33 | 35.1 |
| 31.21 | 32.9 |
| 31.87 | 20.5 |
| 56.81 | 18.6 |
| 62.55 | 18.1 |
| 57.46 | 18.1 |

---

6.
Diffraction record for ScTaCrCoAs. The XRD peak list is calculated, not measured: it uses a GGA-PBE-relaxed structure and Cu Kα (λ = 1.5418 Å).

Structural model:
```
ScTaCrCoAs
1.0
-1.850 1.935 5.633
1.850 -1.935 5.633
1.850 1.935 -5.633
Sc Ta Cr Co As
1 1 1 1 1
direct
0.000 0.000 0.000
0.738 0.238 0.500
0.242 0.742 0.500
0.602 0.602 0.000
0.399 0.399 0.000
```

Largest 10 diffraction maxima, in order of falling intensity, 10 to 90 degrees two-theta:
| 2theta | I (rel.) |
| --- | --- |
| 37.21 | 100.0 |
| 46.84 | 45.7 |
| 15.73 | 42.1 |
| 24.32 | 28.1 |
| 25.33 | 27.2 |
| 33.25 | 22.3 |
| 46.96 | 21.6 |
| 49.24 | 18.7 |
| 47.23 | 17.2 |
| 70.41 | 12.4 |

---

7.
Diffraction record for V4SiSb2. The XRD peak list is calculated, not measured: it uses a GGA-PBE-relaxed structure and Cu Kα (λ = 1.5418 Å).

Structural model:
```
V4SiSb2
1.0
-4.933 4.933 2.346
4.933 -4.933 2.346
4.933 4.933 -2.346
V Si Sb
8 2 4
direct
0.085 0.794 0.879
0.206 0.085 0.290
0.294 0.585 0.879
0.415 0.294 0.710
0.585 0.706 0.290
0.706 0.415 0.121
0.794 0.915 0.710
0.915 0.206 0.121
0.250 0.250 0.000
0.750 0.750 0.000
0.141 0.359 0.500
0.359 0.859 0.218
0.641 0.141 0.782
0.859 0.641 0.500
```

Largest 10 diffraction maxima, in order of falling intensity, 10 to 90 degrees two-theta:
| 2theta | I (rel.) |
| --- | --- |
| 38.07 | 100.0 |
| 27.76 | 74.4 |
| 42.41 | 59.4 |
| 38.37 | 42.6 |
| 53.71 | 35.5 |
| 53.94 | 24.6 |
| 36.43 | 23.9 |
| 80.02 | 22.1 |
| 28.61 | 21.4 |
| 40.91 | 16.0 |

---

8.
Diffraction record for NaGaSb. The XRD peak list is calculated, not measured: it uses a GGA-PBE-relaxed structure and Cu Kα (λ = 1.5418 Å).

Structural model:
```
NaGaSb
1.0
2.192 -8.863 0.000
2.192 8.863 0.000
0.000 0.000 4.285
Na Ga Sb
2 2 2
direct
0.186 0.814 0.750
0.814 0.186 0.250
0.038 0.962 0.250
0.962 0.038 0.750
0.371 0.629 0.750
0.629 0.371 0.250
```

Largest 10 diffraction maxima, in order of falling intensity, 10 to 90 degrees two-theta:
| 2theta | I (rel.) |
| --- | --- |
| 23.05 | 100.0 |
| 38.85 | 81.8 |
| 25.30 | 64.1 |
| 29.58 | 48.6 |
| 41.18 | 42.7 |
| 32.48 | 33.7 |
| 47.72 | 28.2 |
| 60.41 | 26.6 |
| 42.18 | 25.6 |
| 20.04 | 23.5 |

---

9.
Diffraction record for LaGd2Ti. The XRD peak list is calculated, not measured: it uses a GGA-PBE-relaxed structure and Cu Kα (λ = 1.5418 Å).

Structural model:
```
LaGd2Ti
1.0
1.718 0.992 11.294
-1.718 0.992 11.294
0.000 -1.983 11.294
La Gd Ti
1 2 1
direct
0.000 0.000 0.000
0.240 0.240 0.240
0.760 0.760 0.760
0.500 0.500 0.500
```

Largest 10 diffraction maxima, in order of falling intensity, 10 to 90 degrees two-theta:
| 2theta | I (rel.) |
| --- | --- |
| 31.88 | 100.0 |
| 36.93 | 59.3 |
| 31.69 | 24.1 |
| 53.34 | 24.1 |
| 23.63 | 19.8 |
| 63.39 | 19.4 |
| 46.31 | 15.3 |
| 63.50 | 13.6 |
| 32.88 | 13.5 |
| 53.09 | 12.0 |

---

10.
Diffraction record for Pu3Ga4Ni2. The XRD peak list is calculated, not measured: it uses a GGA-PBE-relaxed structure and Cu Kα (λ = 1.5418 Å).

Structural model:
```
Pu3Ga4Ni2
1.0
4.983 -2.311 0.000
4.983 2.311 0.000
-4.791 0.000 7.006
Pu Ga Ni
3 4 2
direct
0.000 0.000 0.000
0.340 0.340 0.332
0.660 0.660 0.668
0.080 0.080 0.402
0.299 0.299 0.955
0.701 0.701 0.045
0.920 0.920 0.598
0.388 0.388 0.721
0.612 0.612 0.279
```

Largest 10 diffraction maxima, in order of falling intensity, 10 to 90 degrees two-theta:
| 2theta | I (rel.) |
| --- | --- |
| 22.19 | 100.0 |
| 38.93 | 85.7 |
| 38.43 | 59.2 |
| 38.16 | 57.9 |
| 38.98 | 43.5 |
| 38.01 | 29.4 |
| 38.55 | 29.1 |
| 70.48 | 27.3 |
| 55.98 | 19.9 |
| 55.58 | 19.8 |

---

11.
Diffraction record for CaInSnHg. The XRD peak list is calculated, not measured: it uses a GGA-PBE-relaxed structure and Cu Kα (λ = 1.5418 Å).

Structural model:
```
CaInSnHg
1.0
4.496 0.000 0.000
0.000 4.756 0.000
0.000 0.000 4.871
Ca In Sn Hg
1 1 1 1
direct
0.000 0.000 0.000
0.000 0.500 0.500
0.500 0.500 0.000
0.500 0.000 0.500
```

Largest 10 diffraction maxima, in order of falling intensity, 10 to 90 degrees two-theta:
| 2theta | I (rel.) |
| --- | --- |
| 33.01 | 100.0 |
| 36.91 | 18.5 |
| 37.84 | 17.3 |
| 64.04 | 14.8 |
| 40.11 | 14.7 |
| 65.29 | 14.7 |
| 53.89 | 12.4 |
| 68.40 | 12.2 |
| 69.26 | 11.7 |
| 55.64 | 11.3 |

---

12.
Diffraction record for CsSr3Li4I12. The XRD peak list is calculated, not measured: it uses a GGA-PBE-relaxed structure and Cu Kα (λ = 1.5418 Å).

Structural model:
```
CsSr3Li4I12
1.0
8.658 4.999 3.795
-8.658 4.999 3.795
0.000 -9.998 3.795
Cs Sr Li I
1 3 4 12
direct
0.000 0.000 0.000
0.000 0.556 0.444
0.444 0.000 0.556
0.556 0.444 0.000
0.063 0.500 0.937
0.500 0.500 0.500
0.500 0.937 0.063
0.937 0.063 0.500
0.046 0.655 0.782
0.095 0.905 0.500
0.218 0.345 0.954
0.345 0.655 0.500
0.345 0.954 0.218
0.500 0.095 0.905
0.500 0.345 0.655
0.655 0.500 0.345
0.655 0.782 0.046
0.782 0.046 0.655
0.905 0.500 0.095
0.954 0.218 0.345
```

Largest 10 diffraction maxima, in order of falling intensity, 10 to 90 degrees two-theta:
| 2theta | I (rel.) |
| --- | --- |
| 26.54 | 100.0 |
| 22.76 | 72.7 |
| 38.32 | 36.5 |
| 45.22 | 29.2 |
| 31.35 | 26.8 |
| 23.44 | 24.5 |
| 17.48 | 23.9 |
| 19.58 | 22.8 |
| 30.98 | 19.3 |
| 42.96 | 17.4 |

---

13.
Diffraction record for MnNiH. The XRD peak list is calculated, not measured: it uses a GGA-PBE-relaxed structure and Cu Kα (λ = 1.5418 Å).

Structural model:
```
MnNiH
1.0
4.308 0.000 0.000
0.000 5.654 0.000
0.000 0.000 4.446
Mn Ni H
4 4 4
direct
0.000 0.000 0.000
0.000 0.500 0.000
0.500 0.000 0.500
0.500 0.500 0.500
0.000 0.250 0.459
0.000 0.750 0.541
0.500 0.250 0.041
0.500 0.750 0.959
0.249 0.250 0.751
0.251 0.750 0.251
0.749 0.250 0.749
0.751 0.750 0.249
```

Largest 10 diffraction maxima, in order of falling intensity, 10 to 90 degrees two-theta:
| 2theta | I (rel.) |
| --- | --- |
| 43.35 | 100.0 |
| 41.94 | 28.1 |
| 40.58 | 26.7 |
| 59.78 | 16.1 |
| 77.59 | 15.5 |
| 75.75 | 12.3 |
| 80.51 | 8.2 |
| 81.43 | 6.9 |
| 66.10 | 6.7 |
| 48.83 | 5.1 |

---

14.
Diffraction record for LiAc3Al2Hg6. The XRD peak list is calculated, not measured: it uses a GGA-PBE-relaxed structure and Cu Kα (λ = 1.5418 Å).

Structural model:
```
LiAc3Al2Hg6
1.0
6.782 0.000 0.000
-3.391 5.873 0.000
0.000 0.000 8.571
Li Ac Al Hg
1 3 2 6
direct
0.000 0.000 0.000
0.000 0.000 0.500
0.333 0.667 0.169
0.667 0.333 0.831
0.333 0.667 0.561
0.667 0.333 0.439
0.176 0.353 0.811
0.176 0.824 0.811
0.353 0.176 0.189
0.647 0.824 0.811
0.824 0.176 0.189
0.824 0.647 0.189
```

Largest 10 diffraction maxima, in order of falling intensity, 10 to 90 degrees two-theta:
| 2theta | I (rel.) |
| --- | --- |
| 32.22 | 100.0 |
| 37.11 | 62.6 |
| 31.31 | 30.2 |
| 52.90 | 24.9 |
| 63.84 | 23.2 |
| 54.09 | 22.1 |
| 10.32 | 18.3 |
| 20.73 | 17.9 |
| 64.38 | 14.0 |
| 18.31 | 13.7 |